CdCBr3N: theoretical XRD peak list (Cu Ka), based on a crystal structure in Alexandria, relaxed with PBE.

Main lines, by angle (10° ≤ 2θ ≤ 90°):
2θ (°), I (rel.)
12.1, 100
14.0, 82
24.4, 24
28.3, 25
30.9, 89
33.3, 44
34.8, 58
35.5, 36
45.4, 22
47.2, 45
50.0, 23
75.2, 23

Structural model:
```
CdCBr3N
1.0
3.503 -7.300 0.000
3.503 7.300 0.000
0.000 0.000 7.286
Cd C Br N
2 2 6 2
direct
0.000 0.000 0.000
0.000 0.000 0.500
0.488 0.512 0.748
0.512 0.488 0.248
0.129 0.871 0.749
0.161 0.372 0.750
0.372 0.161 0.250
0.628 0.839 0.750
0.839 0.628 0.250
0.871 0.129 0.249
0.430 0.570 0.246
0.570 0.430 0.746
```



Ce4C2Br5: theoretical XRD peak list (Cu Ka), based on a crystal structure in Alexandria, relaxed with PBE.

Main lines, by angle (10° ≤ 2θ ≤ 90°):
2θ (°), I (rel.)
10.1, 30
10.7, 74
28.8, 100
30.4, 26
30.6, 69
31.0, 75
33.1, 31
33.5, 25
42.2, 25
42.4, 27
42.7, 25
43.2, 30

Structural model:
```
Ce4C2Br5
1.0
4.196 0.000 0.000
-0.636 8.523 0.000
-2.030 -2.101 8.775
Ce C Br
4 2 5
direct
0.042 0.288 0.003
0.361 0.428 0.721
0.639 0.572 0.279
0.958 0.712 0.997
0.388 0.557 0.999
0.612 0.443 0.001
0.145 0.336 0.347
0.195 0.832 0.335
0.500 0.000 0.000
0.805 0.168 0.665
0.855 0.664 0.653
```



Ce8C3Br4O: theoretical XRD peak list (Cu Ka), based on a crystal structure in Alexandria, relaxed with PBE.

Main lines, by angle (10° ≤ 2θ ≤ 90°):
2θ (°), I (rel.)
28.2, 15
29.1, 35
32.3, 100
34.5, 46
36.2, 25
39.9, 13
43.0, 19
49.4, 37
60.3, 16
61.2, 17
62.8, 30
81.6, 14

Structural model:
```
Ce8C3Br4O
1.0
3.688 2.129 7.451
-3.688 2.129 7.451
0.000 -4.258 7.451
Ce C Br O
8 3 4 1
direct
0.228 0.228 0.228
0.229 0.728 0.728
0.272 0.272 0.771
0.272 0.771 0.272
0.728 0.229 0.728
0.728 0.728 0.229
0.771 0.272 0.272
0.772 0.772 0.772
0.000 0.000 0.500
0.000 0.500 0.000
0.500 0.000 0.000
0.000 0.000 0.000
0.000 0.500 0.500
0.500 0.000 0.500
0.500 0.500 0.000
0.500 0.500 0.500
```



Pm8C3Br3Cl: theoretical XRD peak list (Cu Ka), based on a crystal structure in Alexandria, relaxed with PBE.

Main lines, by angle (10° ≤ 2θ ≤ 90°):
2θ (°), I (rel.)
25.3, 12
27.9, 48
31.6, 100
34.1, 28
38.4, 15
40.2, 11
43.6, 24
46.8, 24
46.9, 12
57.6, 16
62.1, 19
63.7, 13

Structural model:
```
Pm8C3Br3Cl
1.0
6.727 -3.878 0.000
6.727 3.878 0.000
-4.489 0.000 7.031
Pm C Br Cl
8 3 3 1
direct
0.201 0.749 0.700
0.229 0.229 0.687
0.251 0.251 0.300
0.251 0.799 0.300
0.749 0.201 0.700
0.749 0.749 0.700
0.771 0.771 0.313
0.799 0.251 0.300
0.000 0.000 0.500
0.000 0.500 0.500
0.500 0.000 0.500
0.000 0.500 0.000
0.500 0.000 0.000
0.500 0.500 0.000
0.500 0.500 0.500
```